Record 1
Computed X-ray powder pattern
Compound: La5Pm2Dy3
Radiation: copper Kα
Structure: a crystal structure in Alexandria, relaxed with GGA-PBE

Atomic structure:
a b c (Å): 9.2809 9.2809 10.2161
angles (deg): 108.71 108.71 106.99
Positions (direct):
La (0.0167, 0.9833, 0.7500)
La (0.1231, 0.3822, 0.7530)
La (0.2245, 0.7755, 0.7500)
La (0.3822, 0.1231, 0.2530)
La (0.4752, 0.5248, 0.2500)
La (0.5248, 0.4752, 0.7500)
La (0.6178, 0.8769, 0.7470)
La (0.7755, 0.2245, 0.2500)
La (0.8769, 0.6178, 0.2470)
La (0.9833, 0.0167, 0.2500)
Pm (0.0274, 0.2848, 0.0619)
Pm (0.2848, 0.0274, 0.5619)
Pm (0.7152, 0.9726, 0.4381)
Pm (0.9726, 0.7152, 0.9381)
Dy (0.2228, 0.4751, 0.4440)
Dy (0.2688, 0.7312, 0.2500)
Dy (0.4751, 0.2228, 0.9440)
Dy (0.5249, 0.7772, 0.0560)
Dy (0.7312, 0.2688, 0.7500)
Dy (0.7772, 0.5249, 0.5560)

Largest 8 diffraction maxima, sorted by position, 10 to 90 degrees two-theta:
2θ/deg, I/Imax
28.91, 94
30.74, 100
31.75, 21
32.43, 48
33.48, 19
35.27, 26
48.45, 22
59.52, 24

=====

Record 2
Computed X-ray powder pattern
Compound: La8Pm3Dy
Radiation: copper Kα
Structure: a crystal structure in Alexandria, relaxed with GGA-PBE

Atomic structure:
a b c (Å): 8.8556 8.8556 8.8556
angles (deg): 134.38 100.90 96.40
Positions (direct):
La (0.0842, 0.2478, 0.8364)
La (0.2717, 0.2233, 0.4951)
La (0.2717, 0.7767, 0.0484)
La (0.4114, 0.2478, 0.1636)
La (0.5886, 0.7522, 0.8364)
La (0.7283, 0.2233, 0.9516)
La (0.7283, 0.7767, 0.5049)
La (0.9158, 0.7522, 0.1636)
Pm (0.2570, 0.7570, 0.5000)
Pm (0.5000, 0.5000, 0.0000)
Pm (0.7430, 0.2430, 0.5000)
Dy (0.0000, 0.0000, 0.0000)

Largest 8 diffraction maxima, sorted by position, 10 to 90 degrees two-theta:
2θ/deg, I/Imax
30.11, 43
30.28, 55
30.49, 27
31.07, 100
34.14, 33
43.51, 20
49.09, 22
54.29, 20

=====

Record 3
Computed X-ray powder pattern
Compound: La2PmDy3
Radiation: copper Kα
Structure: a crystal structure in Alexandria, relaxed with GGA-PBE

Atomic structure:
a b c (Å): 8.9890 8.9890 10.3298
angles (deg): 122.30 122.30 36.55
Positions (direct):
La (0.0150, 0.0150, 0.3683)
La (0.2771, 0.2771, 0.6351)
La (0.7229, 0.7229, 0.3649)
La (0.9850, 0.9850, 0.6317)
Pm (0.3632, 0.3632, 0.3505)
Pm (0.6368, 0.6368, 0.6495)
Dy (0.1101, 0.1101, 0.1507)
Dy (0.2026, 0.2026, 0.9198)
Dy (0.4470, 0.4470, 0.0973)
Dy (0.5530, 0.5530, 0.9027)
Dy (0.7974, 0.7974, 0.0802)
Dy (0.8899, 0.8899, 0.8493)

Largest 8 diffraction maxima, sorted by position, 10 to 90 degrees two-theta:
2θ/deg, I/Imax
30.45, 67
30.77, 100
31.45, 30
31.74, 43
42.33, 14
45.29, 21
55.74, 23
55.93, 19

=====

Record 4
Computed X-ray powder pattern
Compound: La5Pm2Dy
Radiation: copper Kα
Structure: a crystal structure in Alexandria, relaxed with GGA-PBE

Atomic structure:
a b c (Å): 9.0367 9.0367 11.6937
angles (deg): 90.00 90.00 142.26
Positions (direct):
La (0.0467, 0.9533, 0.6151)
La (0.0467, 0.9533, 0.8849)
La (0.3902, 0.6098, 0.2500)
La (0.4124, 0.5876, 0.5873)
La (0.4124, 0.5876, 0.9127)
La (0.5876, 0.4124, 0.0873)
La (0.5876, 0.4124, 0.4127)
La (0.6098, 0.3902, 0.7500)
La (0.9533, 0.0467, 0.1151)
La (0.9533, 0.0467, 0.3849)
Pm (0.2145, 0.7855, 0.0844)
Pm (0.2145, 0.7855, 0.4156)
Pm (0.7855, 0.2145, 0.5844)
Pm (0.7855, 0.2145, 0.9156)
Dy (0.2292, 0.7708, 0.7500)
Dy (0.7708, 0.2292, 0.2500)

Largest 8 diffraction maxima, sorted by position, 10 to 90 degrees two-theta:
2θ/deg, I/Imax
25.11, 18
30.28, 38
30.59, 42
31.75, 100
39.98, 14
48.57, 15
55.11, 21
58.50, 17

=====

Record 5
Computed X-ray powder pattern
Compound: La5Pm12Dy2
Radiation: copper Kα
Structure: a crystal structure in Alexandria, relaxed with GGA-PBE

Atomic structure:
a b c (Å): 10.2873 10.2873 9.2350
angles (deg): 108.33 108.33 47.95
Positions (direct):
La (0.0000, 0.0000, 0.0000)
La (0.2407, 0.2407, 0.7120)
La (0.3043, 0.3043, 0.3216)
La (0.6957, 0.6957, 0.6784)
La (0.7593, 0.7593, 0.2880)
Pm (0.0513, 0.0513, 0.6718)
Pm (0.0683, 0.6641, 0.6527)
Pm (0.0750, 0.6153, 0.0335)
Pm (0.3359, 0.9317, 0.3473)
Pm (0.3847, 0.9250, 0.9665)
Pm (0.4930, 0.4930, 0.8284)
Pm (0.5070, 0.5070, 0.1716)
Pm (0.6153, 0.0750, 0.0335)
Pm (0.6641, 0.0683, 0.6527)
Pm (0.9250, 0.3847, 0.9665)
Pm (0.9317, 0.3359, 0.3473)
Pm (0.9487, 0.9487, 0.3282)
Dy (0.3255, 0.6745, 0.5000)
Dy (0.6745, 0.3255, 0.5000)

Largest 8 diffraction maxima, sorted by position, 10 to 90 degrees two-theta:
2θ/deg, I/Imax
27.10, 87
28.98, 83
29.43, 100
29.69, 54
30.28, 85
31.47, 42
32.32, 35
35.64, 48

=====

Record 6
Computed X-ray powder pattern
Compound: La5Pm4Dy4
Radiation: copper Kα
Structure: a crystal structure in Alexandria, relaxed with GGA-PBE

Atomic structure:
a b c (Å): 9.6885 9.6885 9.6885
angles (deg): 94.06 94.06 149.14
Positions (direct):
La (0.0000, 0.0000, 0.0000)
La (0.3076, 0.4598, 0.7674)
La (0.4598, 0.6924, 0.1522)
La (0.5402, 0.3076, 0.8478)
La (0.6924, 0.5402, 0.2326)
Pm (0.0765, 0.6151, 0.6917)
Pm (0.3849, 0.0765, 0.4614)
Pm (0.6151, 0.9235, 0.5386)
Pm (0.9235, 0.3849, 0.3083)
Dy (0.1551, 0.2335, 0.3886)
Dy (0.2335, 0.8449, 0.0785)
Dy (0.7665, 0.1551, 0.9215)
Dy (0.8449, 0.7665, 0.6114)

Largest 8 diffraction maxima, sorted by position, 10 to 90 degrees two-theta:
2θ/deg, I/Imax
29.92, 100
34.63, 34
34.80, 17
49.78, 12
49.91, 24
59.18, 29
59.40, 14
62.17, 12